Diffraction record for NaDy3I5. The powder XRD pattern is theoretical, not measured: it uses DFT lattice parameters and positions (GGA-PBE) and Cu Kα, 1.54184 Å.

Structure:
```
data_NaDy3I5
_symmetry_space_group_name_H-M 'P 1 2 1'
_symmetry_Int_Tables_number 3
_symmetry_space_group_name_Hall 'P 2y'
_cell_length_a 6.237
_cell_length_b 8.973
_cell_length_c 6.269
_cell_angle_alpha 90.00
_cell_angle_beta 104.67
_cell_angle_gamma 90.00
loop_
_atom_site_label
_atom_site_fract_x
_atom_site_fract_y
_atom_site_fract_z
Na1 0.000 0.000 0.000
Dy1 0.000 0.523 0.500
Dy2 0.500 0.076 0.500
Dy3 0.500 0.524 0.000
I1 0.201 0.229 0.798
I2 0.270 0.774 0.252
I3 0.500 0.424 0.500
```

Principal peaks in the range 10° ≤ 2θ ≤ 90°, most intense first:
hkl, 2theta, I_rel
1 1 1, 25.3, 100
0 2 2, 35.7, 64
1 1 -1, 20.5, 63
2 2 0, 35.9, 60
1 3 -1, 35.1, 57
2 0 -2, 36.3, 31

***

Diffraction record for Dy2HoMg3Al2In. The powder XRD pattern is theoretical, not measured: it uses DFT lattice parameters and positions (GGA-PBE) and Cu Kα, 1.54184 Å.

Structure:
```
data_Dy2HoMg3Al2In
_symmetry_space_group_name_H-M 'A m m 2'
_symmetry_Int_Tables_number 38
_symmetry_space_group_name_Hall 'A 2 -2'
_cell_length_a 4.595
_cell_length_b 12.776
_cell_length_c 7.389
_cell_angle_alpha 90.00
_cell_angle_beta 90.00
_cell_angle_gamma 90.00
loop_
_atom_site_label
_atom_site_fract_x
_atom_site_fract_y
_atom_site_fract_z
Dy1 0.000 0.219 0.000
Ho1 0.000 0.000 0.343
Mg1 0.500 0.000 0.027
Mg2 0.500 0.123 0.658
Al1 0.500 0.166 0.281
In1 0.000 0.000 0.780
```

Principal peaks in the range 10° ≤ 2θ ≤ 90°, most intense first:
hkl, 2theta, I_rel
1 4 0, 34.2, 100
0 4 0, 27.9, 56
1 0 0, 19.3, 47
1 3 1, 31.1, 38
2 4 0, 48.8, 24
1 5 3, 55.5, 24

***

Diffraction record for Lu4NiB13. The powder XRD pattern is theoretical, not measured: it uses DFT lattice parameters and positions (GGA-PBE) and Cu Kα, 1.54184 Å.

Structure:
```
data_Lu4NiB13
_symmetry_space_group_name_H-M 'P 4/m n c'
_symmetry_Int_Tables_number 128
_symmetry_space_group_name_Hall '-P 4 2n'
_cell_length_a 7.215
_cell_length_b 7.215
_cell_length_c 6.740
_cell_angle_alpha 90.00
_cell_angle_beta 90.00
_cell_angle_gamma 90.00
loop_
_atom_site_label
_atom_site_fract_x
_atom_site_fract_y
_atom_site_fract_z
Lu1 0.180 0.315 0.000
Ni1 0.000 0.000 0.500
B1 0.000 0.000 0.000
B2 0.040 0.829 0.243
B3 0.091 0.591 0.250
```

Principal peaks in the range 10° ≤ 2θ ≤ 90°, most intense first:
hkl, 2theta, I_rel
2 1 2, 38.6, 100
2 1 0, 27.6, 99
0 0 2, 26.4, 59
2 0 0, 24.7, 41
4 1 2, 59.5, 40
2 0 2, 36.5, 39

***

Diffraction record for Tb2HoMg3In3. The powder XRD pattern is theoretical, not measured: it uses DFT lattice parameters and positions (GGA-PBE) and Cu Kα, 1.54184 Å.

Structure:
```
data_Tb2HoMg3In3
_symmetry_space_group_name_H-M 'A m m 2'
_symmetry_Int_Tables_number 38
_symmetry_space_group_name_Hall 'A 2 -2'
_cell_length_a 4.677
_cell_length_b 12.991
_cell_length_c 7.530
_cell_angle_alpha 90.00
_cell_angle_beta 90.00
_cell_angle_gamma 90.00
loop_
_atom_site_label
_atom_site_fract_x
_atom_site_fract_y
_atom_site_fract_z
Tb1 0.000 0.217 0.000
Ho1 0.000 0.000 0.348
Mg1 0.500 0.000 0.024
Mg2 0.500 0.121 0.661
In1 0.000 0.000 0.781
In2 0.500 0.166 0.283
```

Principal peaks in the range 10° ≤ 2θ ≤ 90°, most intense first:
hkl, 2theta, I_rel
1 4 0, 33.5, 100
1 3 1, 30.5, 51
0 2 2, 27.4, 26
2 0 0, 38.5, 23
0 0 2, 23.7, 18
3 4 0, 66.5, 13

***

Diffraction record for NaHf2Co2. The powder XRD pattern is theoretical, not measured: it uses DFT lattice parameters and positions (GGA-PBE) and Cu Kα, 1.54184 Å.

Structure:
```
data_NaHf2Co2
_symmetry_space_group_name_H-M 'P 63/m m c'
_symmetry_Int_Tables_number 194
_symmetry_space_group_name_Hall '-P 6c 2c'
_cell_length_a 4.2489
_cell_length_b 4.2489
_cell_length_c 10.6097
_cell_angle_alpha 90.00
_cell_angle_beta 90.00
_cell_angle_gamma 120.00
loop_
_atom_site_label
_atom_site_fract_x
_atom_site_fract_y
_atom_site_fract_z
Na1 0.0000 0.0000 0.2500
Hf1 0.3333 0.6667 0.0947
Co1 0.0000 0.0000 0.0000
Co2 0.3333 0.6667 0.7500
```

Principal peaks in the range 10° ≤ 2θ ≤ 90°, most intense first:
hkl, 2theta, I_rel
1 0 3, 35.2, 100
1 1 0, 42.6, 60
2 0 3, 56.4, 26
1 0 1, 25.6, 25
2 1 3, 73.1, 24
1 0 4, 42.0, 17

***

Diffraction record for MoI2Br2Cl. The powder XRD pattern is theoretical, not measured: it uses DFT lattice parameters and positions (GGA-PBE) and Cu Kα, 1.54184 Å.

Structure:
```
data_MoI2Br2Cl
_symmetry_space_group_name_H-M 'P -1'
_symmetry_Int_Tables_number 2
_symmetry_space_group_name_Hall '-P 1'
_cell_length_a 6.859
_cell_length_b 7.388
_cell_length_c 9.924
_cell_angle_alpha 108.21
_cell_angle_beta 90.06
_cell_angle_gamma 116.55
loop_
_atom_site_label
_atom_site_fract_x
_atom_site_fract_y
_atom_site_fract_z
Mo1 0.114 0.226 0.225
I1 0.119 0.600 0.846
I2 0.254 0.189 0.950
Br1 0.061 0.814 0.565
Br2 0.446 0.568 0.336
Cl1 0.285 0.023 0.245
```

Principal peaks in the range 10° ≤ 2θ ≤ 90°, most intense first:
hkl, 2theta, I_rel
1 0 -3, 30.1, 100
2 -2 1, 29.9, 93
1 1 1, 29.4, 70
-3 2 2, 46.2, 46
0 2 -2, 28.5, 43
1 0 0, 14.6, 41

***

Repeat the third record exactly.
Diffraction record for Lu4NiB13. The powder XRD pattern is theoretical, not measured: it uses DFT lattice parameters and positions (GGA-PBE) and Cu Kα, 1.54184 Å.

Structure:
```
data_Lu4NiB13
_symmetry_space_group_name_H-M 'P 4/m n c'
_symmetry_Int_Tables_number 128
_symmetry_space_group_name_Hall '-P 4 2n'
_cell_length_a 7.215
_cell_length_b 7.215
_cell_length_c 6.740
_cell_angle_alpha 90.00
_cell_angle_beta 90.00
_cell_angle_gamma 90.00
loop_
_atom_site_label
_atom_site_fract_x
_atom_site_fract_y
_atom_site_fract_z
Lu1 0.180 0.315 0.000
Ni1 0.000 0.000 0.500
B1 0.000 0.000 0.000
B2 0.040 0.829 0.243
B3 0.091 0.591 0.250
```

Principal peaks in the range 10° ≤ 2θ ≤ 90°, most intense first:
hkl, 2theta, I_rel
2 1 2, 38.6, 100
2 1 0, 27.6, 99
0 0 2, 26.4, 59
2 0 0, 24.7, 41
4 1 2, 59.5, 40
2 0 2, 36.5, 39